Diffraction record for PuZr2Co. The PXRD pattern is computed, not measured: it uses a GGA-PBE-relaxed structure and Cu Kα (λ = 1.5418 Å).

Atomic structure:
Cell lengths 3.2088, 3.2088, 7.7303 Å; angles 90.00, 90.00, 90.00 degrees
Space group P4/mmm (No. 123)
Symmetry-distinct sites (fractional):
Pu: 0.0000 0.0000 0.0000
Zr: 0.5000 0.5000 0.2939
Co: 0.0000 0.0000 0.5000

Peak list (12 most intense, 2θ from 10° to 90°, in order of rising 2θ)
(hkl)	2θ (°)	d_spacing	intensity
0 0 1	11.45	7.730	24
1 0 1	30.16	2.964	39
0 0 3	34.82	2.577	13
1 0 2	36.39	2.469	100
1 1 0	39.73	2.269	44
0 0 4	47.02	1.933	8
1 1 3	53.84	1.703	15
2 0 0	57.44	1.604	15
1 1 4	63.20	1.471	14
2 1 1	66.24	1.411	9
1 0 5	67.21	1.393	10
2 1 2	69.93	1.345	29